Calculated powder diffractogram
Compound: VCrP2O8F2
Radiation: Cu Kα X-rays
Structure: the GGA+U geometry in Alexandria

Top 12 peaks for 2θ from 10° to 80°, by angle:
hkl	d/Å	I (rel.)
0 1 -1	4.864	41
1 0 0	4.778	22
1 0 -1	4.711	30
1 -1 0	3.784	23
0 1 1	3.329	100
1 -1 1	3.288	18
-1 1 1	3.244	14
1 1 -2	3.089	56
1 -2 1	2.363	16
2 1 -3	1.971	12
0 2 2	1.665	13
1 -3 0	1.631	13

Structure:
Cell: 5.1121 5.2602 7.3332 Å, 109.70 107.86 93.77°
Space group P-1 (No. 2)
Symmetry-distinct sites (fractional):
V 0.0000 0.0000 0.0000 (multiplicity 1)
Cr 0.5000 0.5000 0.5000 (multiplicity 1)
P 0.4113 0.1189 0.7481 (multiplicity 2)
O 0.2412 0.1312 0.8960 (multiplicity 2)
O 0.2698 0.8226 0.1139 (multiplicity 2)
O 0.3336 0.8312 0.5821 (multiplicity 2)
O 0.3512 0.3493 0.6702 (multiplicity 2)
F 0.1488 0.3162 0.2521 (multiplicity 2)